Entry 1:
Simulated X-ray powder pattern of Sn6Pd8Au for Cu Kα (weighted mean of Kα1 and Kα2), from DFT lattice parameters and positions (PBE).
Lines closer than 0.1° are merged.

Atomic structure:
Cell: 7.1700 7.1700 7.1700 Å, 66.73 66.73 66.73°
Atoms (fractional coordinates):
Sn 0.0902 0.7638 0.4581
Sn 0.2362 0.5419 0.9098
Sn 0.4581 0.0902 0.7638
Sn 0.5419 0.9098 0.2362
Sn 0.7638 0.4581 0.0902
Sn 0.9098 0.2362 0.5419
Pd 0.0788 0.3816 0.7317
Pd 0.2683 0.9212 0.6184
Pd 0.3218 0.3218 0.3218
Pd 0.3816 0.7317 0.0788
Pd 0.6184 0.2683 0.9212
Pd 0.6782 0.6782 0.6782
Pd 0.7317 0.0788 0.3816
Pd 0.9212 0.6184 0.2683
Au 0.0000 0.0000 0.0000

Main lines, low angle first (2θ from 10° to 90°):
2θ (°), d_spacing, intensity
16.00, 5.539, 14
22.55, 3.943, 10
27.77, 3.212, 32
39.58, 2.277, 100
39.77, 2.266, 94
57.37, 1.606, 31
71.82, 1.314, 16
71.94, 1.312, 30
72.32, 1.307, 18
85.73, 1.133, 11

***

Entry 2:
Simulated X-ray powder pattern of TbY5Ho2Tm for Cu Kα (weighted mean of Kα1 and Kα2), from DFT lattice parameters and positions (PBE).
Lines closer than 0.1° are merged.

Atomic structure:
Cell: 10.3857 10.3857 10.5125 Å, 90.00 90.00 148.78°
Atoms (fractional coordinates):
Tb 0.1965 0.8035 0.5000
Tb 0.8035 0.1965 0.0000
Y 0.0170 0.9830 0.5085
Y 0.2785 0.7215 0.8012
Y 0.3009 0.6991 0.1922
Y 0.3858 0.6142 0.5101
Y 0.4800 0.5200 0.2253
Y 0.5200 0.4800 0.7253
Y 0.6142 0.3858 0.0101
Y 0.6991 0.3009 0.6922
Y 0.7215 0.2785 0.3012
Y 0.9830 0.0170 0.0085
Ho 0.1105 0.8895 0.2244
Ho 0.1122 0.8878 0.8033
Ho 0.8878 0.1122 0.3033
Ho 0.8895 0.1105 0.7244
Tm 0.4117 0.5883 0.9414
Tm 0.5883 0.4117 0.4414

Main lines, low angle first (2θ from 10° to 90°):
2θ (°), d_spacing, intensity
28.08, 3.178, 14
30.44, 2.937, 35
32.03, 2.795, 39
32.36, 2.766, 100
34.12, 2.628, 11
36.33, 2.473, 9
51.38, 1.778, 10
57.29, 1.608, 22
59.62, 1.551, 11
61.84, 1.500, 11

***

Entry 3:
Simulated X-ray powder pattern of Li7Si2 for Cu Kα (weighted mean of Kα1 and Kα2), from DFT lattice parameters and positions (PBE).
Lines closer than 0.1° are merged.

Atomic structure:
Cell: 8.0411 14.9069 4.4692 Å, 90.00 90.00 90.00°
Atoms (fractional coordinates):
Li 0.0000 0.0000 0.0000
Li 0.0000 0.5000 0.5000
Li 0.0871 0.2429 0.5000
Li 0.1142 0.8121 0.0000
Li 0.1202 0.6440 0.5000
Li 0.1744 0.5132 0.0000
Li 0.2035 0.1664 0.0000
Li 0.2336 0.8984 0.5000
Li 0.2664 0.3984 0.5000
Li 0.2965 0.6664 0.0000
Li 0.3256 0.0132 0.0000
Li 0.3798 0.1440 0.5000
Li 0.3858 0.3121 0.0000
Li 0.4129 0.7429 0.5000
Li 0.5000 0.0000 0.5000
Li 0.5000 0.5000 0.0000
Li 0.5871 0.2571 0.5000
Li 0.6142 0.6879 0.0000
Li 0.6202 0.8560 0.5000
Li 0.6744 0.9868 0.0000
Li 0.7035 0.3336 0.0000
Li 0.7336 0.6016 0.5000
Li 0.7664 0.1016 0.5000
Li 0.7965 0.8336 0.0000
Li 0.8256 0.4868 0.0000
Li 0.8798 0.3560 0.5000
Li 0.8858 0.1879 0.0000
Li 0.9129 0.7571 0.5000
Si 0.0588 0.3467 0.0000
Si 0.1004 0.0647 0.5000
Si 0.3996 0.5647 0.5000
Si 0.4412 0.8467 0.0000
Si 0.5588 0.1533 0.0000
Si 0.6004 0.4353 0.5000
Si 0.8996 0.9353 0.5000
Si 0.9412 0.6533 0.0000

Main lines, low angle first (2θ from 10° to 90°):
2θ (°), d_spacing, intensity
21.02, 4.227, 65
22.91, 3.882, 35
23.21, 3.833, 39
23.54, 3.779, 100
25.75, 3.460, 29
40.36, 2.235, 52
41.09, 2.197, 78
41.56, 2.173, 76
42.84, 2.111, 63
43.99, 2.059, 27

***

Entry 4:
Simulated X-ray powder pattern of ReH12N3Cl4O3 for Cu Kα (weighted mean of Kα1 and Kα2), from DFT lattice parameters and positions (PBE).
Lines closer than 0.1° are merged.

Atomic structure:
Cell: 9.2608 9.2608 7.8133 Å, 90.00 90.00 120.00°
Atoms (fractional coordinates):
Re 0.3333 0.6667 0.0000
Re 0.6667 0.3333 0.5000
H 0.0873 0.3576 0.3878
H 0.0873 0.7297 0.3878
H 0.1092 0.2183 0.5139
H 0.1092 0.8908 0.5139
H 0.2110 0.4221 0.5627
H 0.2110 0.7890 0.5627
H 0.2183 0.1092 0.0139
H 0.2703 0.3576 0.3878
H 0.2703 0.9127 0.3878
H 0.3576 0.0873 0.8878
H 0.3576 0.2703 0.8878
H 0.4221 0.2110 0.0627
H 0.5779 0.7890 0.5627
H 0.6424 0.7297 0.3878
H 0.6424 0.9127 0.3878
H 0.7297 0.0873 0.8878
H 0.7297 0.6424 0.8878
H 0.7817 0.8908 0.5139
H 0.7890 0.2110 0.0627
H 0.7890 0.5779 0.0627
H 0.8908 0.1092 0.0139
H 0.8908 0.7817 0.0139
H 0.9127 0.2703 0.8878
H 0.9127 0.6424 0.8878
N 0.1695 0.3391 0.4615
N 0.1695 0.8305 0.4615
N 0.3391 0.1695 0.9615
N 0.6609 0.8305 0.4615
N 0.8305 0.1695 0.9615
N 0.8305 0.6609 0.9615
Cl 0.0000 0.0000 0.1648
Cl 0.0000 0.0000 0.6648
Cl 0.0957 0.5478 0.7770
Cl 0.4522 0.5478 0.7770
Cl 0.4522 0.9043 0.7770
Cl 0.5478 0.0957 0.2770
Cl 0.5478 0.4522 0.2770
Cl 0.9043 0.4522 0.2770
O 0.2348 0.4697 0.0933
O 0.2348 0.7652 0.0933
O 0.4697 0.2348 0.5933
O 0.5303 0.7652 0.0933
O 0.7652 0.2348 0.5933
O 0.7652 0.5303 0.5933

Main lines, low angle first (2θ from 10° to 90°):
2θ (°), d_spacing, intensity
11.03, 8.020, 35
15.84, 5.597, 100
19.17, 4.630, 42
24.96, 3.568, 44
29.92, 2.986, 21
31.66, 2.826, 26
31.98, 2.798, 25
38.90, 2.315, 12
40.90, 2.206, 12
45.94, 1.975, 15

***

Entry 5:
Simulated X-ray powder pattern of Ag2Rh3 for Cu Kα (weighted mean of Kα1 and Kα2), from DFT lattice parameters and positions (PBE).
Lines closer than 0.1° are merged.

Atomic structure:
Cell: 2.7760 2.7760 20.1799 Å, 90.00 90.00 90.00°
Atoms (fractional coordinates):
Ag 0.0000 0.0000 0.1954
Ag 0.0000 0.0000 0.8046
Ag 0.5000 0.5000 0.3046
Ag 0.5000 0.5000 0.6954
Rh 0.0000 0.0000 0.0000
Rh 0.0000 0.0000 0.4094
Rh 0.0000 0.0000 0.5906
Rh 0.5000 0.5000 0.0906
Rh 0.5000 0.5000 0.5000
Rh 0.5000 0.5000 0.9094

Main lines, low angle first (2θ from 10° to 90°):
2θ (°), d_spacing, intensity
35.59, 2.522, 2
39.40, 2.287, 100
44.92, 2.018, 15
46.25, 1.963, 33
66.45, 1.407, 18
67.48, 1.388, 10
69.36, 1.355, 3
79.10, 1.211, 9
81.04, 1.187, 23
84.77, 1.144, 9

***

Entry 6:
Simulated X-ray powder pattern of Bi4O5F2 for Cu Kα (weighted mean of Kα1 and Kα2), from DFT lattice parameters and positions (PBE).
Lines closer than 0.1° are merged.

Atomic structure:
Cell: 11.6762 5.5610 13.2862 Å, 90.00 95.00 90.00°
Atoms (fractional coordinates):
Bi 0.0727 0.0000 0.4341
Bi 0.0945 0.0229 0.7189
Bi 0.2365 0.5281 0.2058
Bi 0.2618 0.5008 0.6118
Bi 0.2730 0.5090 0.9066
Bi 0.3828 0.0498 0.3572
Bi 0.4064 0.0020 0.0478
Bi 0.4141 0.9904 0.7569
Bi 0.5859 0.4904 0.2431
Bi 0.5936 0.5020 0.9522
Bi 0.6172 0.5498 0.6428
Bi 0.7270 0.0090 0.0934
Bi 0.7382 0.0008 0.3882
Bi 0.7635 0.0281 0.7942
Bi 0.9055 0.5229 0.2811
Bi 0.9273 0.5000 0.5659
O 0.0692 0.7428 0.5922
O 0.0854 0.2363 0.5803
O 0.2466 0.2769 0.7444
O 0.2485 0.7891 0.7340
O 0.3123 0.6319 0.0698
O 0.3351 0.2015 0.2120
O 0.3736 0.6903 0.2980
O 0.4176 0.7842 0.9023
O 0.4259 0.2869 0.9127
O 0.4442 0.6240 0.6706
O 0.5558 0.1240 0.3294
O 0.5741 0.7869 0.0873
O 0.5824 0.2842 0.0977
O 0.6264 0.1903 0.7020
O 0.6649 0.7015 0.7880
O 0.6877 0.1319 0.9302
O 0.7515 0.2891 0.2660
O 0.7534 0.7769 0.2556
O 0.9146 0.7363 0.4197
O 0.9308 0.2428 0.4078
F 0.0609 0.8592 0.2650
F 0.1781 0.3335 0.3723
F 0.2145 0.1380 0.9694
F 0.3572 0.1398 0.5723
F 0.6428 0.6398 0.4277
F 0.7855 0.6380 0.0306
F 0.8219 0.8335 0.6277
F 0.9391 0.3592 0.7350

Main lines, low angle first (2θ from 10° to 90°):
2θ (°), d_spacing, intensity
25.78, 3.456, 84
28.06, 3.181, 100
29.31, 3.047, 31
31.83, 2.811, 27
32.04, 2.794, 19
32.21, 2.779, 44
44.09, 2.054, 29
46.05, 1.971, 18
52.51, 1.743, 19
54.90, 1.672, 15